No. 1
Diffraction record for Pr3Zn2Cu. The powder diffraction line list is calculated, not measured: it uses the PBE geometry in Alexandria and CuKα.
Peak positions follow from Bragg's law for the DFT cell and can differ from measured ones.

Principal peaks in the range 10 to 90 degrees two-theta, in order of falling intensity:
2θ (°), I (rel.)
34.40, 100
61.59, 29
49.46, 21
34.51, 19
24.15, 17
61.76, 14

Cell and atoms:
a = 5.2192 Å, b = 15.5956 Å, c = 3.6898 Å
α = 90.00°, β = 90.00°, γ = 90.00°
Sites, in units of the cell vectors:
Pr 0.0000 0.0000 0.0000
Pr 0.0000 0.3378 0.0000
Pr 0.0000 0.6622 0.0000
Pr 0.5000 0.1622 0.0000
Pr 0.5000 0.5000 0.0000
Pr 0.5000 0.8378 0.0000
Zn 0.0000 0.1726 0.5000
Zn 0.0000 0.8274 0.5000
Zn 0.5000 0.3274 0.5000
Zn 0.5000 0.6726 0.5000
Cu 0.0000 0.5000 0.5000
Cu 0.5000 0.0000 0.5000

No. 2
Diffraction record for PrZn7Cu5. The powder diffraction line list is calculated, not measured: it uses the PBE geometry in Alexandria and CuKα.
Peak positions follow from Bragg's law for the DFT cell and can differ from measured ones.

Principal peaks in the range 10 to 90 degrees two-theta, in order of falling intensity:
2θ (°), I (rel.)
40.32, 100
41.36, 66
41.89, 58
40.64, 56
41.12, 47
35.16, 43

Cell and atoms:
a = 6.7132 Å, b = 6.7132 Å, c = 4.9252 Å
α = 110.06°, β = 110.06°, γ = 83.67°
Sites, in units of the cell vectors:
Pr 0.0000 0.0000 0.0000
Zn 0.2152 0.7763 0.4970
Zn 0.3417 0.6371 0.9897
Zn 0.3472 0.3472 0.3341
Zn 0.6371 0.3417 0.9897
Zn 0.6447 0.6447 0.6640
Zn 0.7686 0.7686 0.2781
Zn 0.7763 0.2152 0.4970
Cu 0.2215 0.2215 0.7183
Cu 0.4935 0.9936 0.9961
Cu 0.4936 0.9947 0.4966
Cu 0.9936 0.4935 0.9961
Cu 0.9947 0.4936 0.4966

No. 3
Diffraction record for Pr3Zn2Cu. The powder diffraction line list is calculated, not measured: it uses the PBE geometry in Alexandria and CuKα.
Peak positions follow from Bragg's law for the DFT cell and can differ from measured ones.

Principal peaks in the range 10 to 90 degrees two-theta, in order of falling intensity:
2θ (°), I (rel.)
34.47, 100
34.31, 51
61.55, 36
49.31, 18
61.85, 18
82.58, 15

Cell and atoms:
a = 3.6961 Å, b = 3.6961 Å, c = 10.9915 Å
α = 90.00°, β = 90.00°, γ = 90.00°
Sites, in units of the cell vectors:
Pr 0.0000 0.0000 0.0000
Pr 0.0000 0.0000 0.3370
Pr 0.0000 0.0000 0.6630
Zn 0.5000 0.5000 0.1660
Zn 0.5000 0.5000 0.8340
Cu 0.5000 0.5000 0.5000

No. 4
Diffraction record for Pr4ZnCu. The powder diffraction line list is calculated, not measured: it uses the PBE geometry in Alexandria and CuKα.
Peak positions follow from Bragg's law for the DFT cell and can differ from measured ones.

Principal peaks in the range 10 to 90 degrees two-theta, in order of falling intensity:
2θ (°), I (rel.)
32.24, 100
34.15, 53
59.94, 33
25.01, 23
49.07, 19
45.03, 15

Cell and atoms:
a = 3.7130 Å, b = 3.7130 Å, c = 12.5492 Å
α = 90.00°, β = 90.00°, γ = 90.00°
Sites, in units of the cell vectors:
Pr 0.0000 0.0000 0.1354
Pr 0.0000 0.0000 0.8646
Pr 0.5000 0.5000 0.3558
Pr 0.5000 0.5000 0.6442
Zn 0.0000 0.0000 0.5000
Cu 0.5000 0.5000 0.0000

No. 5
Diffraction record for PrZn2Cu2. The powder diffraction line list is calculated, not measured: it uses the PBE geometry in Alexandria and CuKα.
Peak positions follow from Bragg's law for the DFT cell and can differ from measured ones.

Principal peaks in the range 10 to 90 degrees two-theta, in order of falling intensity:
2θ (°), I (rel.)
35.19, 100
32.87, 58
44.52, 49
46.94, 34
56.43, 24
66.68, 23

Cell and atoms:
a = 4.0706 Å, b = 4.0706 Å, c = 11.0021 Å
α = 90.00°, β = 90.00°, γ = 90.00°
Sites, in units of the cell vectors:
Pr 0.0000 0.0000 0.0000
Pr 0.5000 0.5000 0.5000
Zn 0.0000 0.5000 0.2500
Zn 0.0000 0.5000 0.7500
Zn 0.5000 0.0000 0.2500
Zn 0.5000 0.0000 0.7500
Cu 0.0000 0.0000 0.3878
Cu 0.0000 0.0000 0.6122
Cu 0.5000 0.5000 0.1122
Cu 0.5000 0.5000 0.8878

No. 6
Diffraction record for Pr11Zn9Cu4. The powder diffraction line list is calculated, not measured: it uses the PBE geometry in Alexandria and CuKα.
Peak positions follow from Bragg's law for the DFT cell and can differ from measured ones.

Principal peaks in the range 10 to 90 degrees two-theta, in order of falling intensity:
2θ (°), I (rel.)
34.59, 100
35.26, 39
61.55, 15
24.73, 15
48.71, 15
36.89, 14

Cell and atoms:
a = 12.9764 Å, b = 12.9764 Å, c = 3.7386 Å
α = 90.00°, β = 90.00°, γ = 112.59°
Sites, in units of the cell vectors:
Pr 0.0000 0.0000 0.0000
Pr 0.0641 0.4110 0.0000
Pr 0.1701 0.8299 0.0000
Pr 0.2913 0.2913 0.0000
Pr 0.3692 0.6308 0.0000
Pr 0.4110 0.0641 0.0000
Pr 0.5890 0.9359 0.0000
Pr 0.6308 0.3692 0.0000
Pr 0.7087 0.7087 0.0000
Pr 0.8299 0.1701 0.0000
Pr 0.9359 0.5890 0.0000
Zn 0.0705 0.2145 0.5000
Zn 0.1658 0.6295 0.5000
Zn 0.2145 0.0705 0.5000
Zn 0.3705 0.8342 0.5000
Zn 0.5000 0.5000 0.5000
Zn 0.6295 0.1658 0.5000
Zn 0.7855 0.9295 0.5000
Zn 0.8342 0.3705 0.5000
Zn 0.9295 0.7855 0.5000
Cu 0.2491 0.4481 0.5000
Cu 0.4481 0.2491 0.5000
Cu 0.5519 0.7509 0.5000
Cu 0.7509 0.5519 0.5000

No. 7
Diffraction record for PrZn3Cu3. The powder diffraction line list is calculated, not measured: it uses the PBE geometry in Alexandria and CuKα.
Peak positions follow from Bragg's law for the DFT cell and can differ from measured ones.

Principal peaks in the range 10 to 90 degrees two-theta, in order of falling intensity:
2θ (°), I (rel.)
36.73, 100
39.49, 53
47.75, 41
30.20, 37
41.26, 33
59.10, 20

Cell and atoms:
a = 6.8141 Å, b = 6.8141 Å, c = 6.8141 Å
α = 62.20°, β = 62.20°, γ = 62.20°
Sites, in units of the cell vectors:
Pr 0.1343 0.1343 0.1343
Pr 0.8657 0.8657 0.8657
Zn 0.1822 0.1822 0.5684
Zn 0.1822 0.5684 0.1822
Zn 0.4316 0.8178 0.8178
Zn 0.5684 0.1822 0.1822
Zn 0.8178 0.4316 0.8178
Zn 0.8178 0.8178 0.4316
Cu 0.1936 0.5599 0.5599
Cu 0.4401 0.4401 0.8064
Cu 0.4401 0.8064 0.4401
Cu 0.5599 0.1936 0.5599
Cu 0.5599 0.5599 0.1936
Cu 0.8064 0.4401 0.4401

No. 8
Diffraction record for Cu5Pt7. The powder diffraction line list is calculated, not measured: it uses the PBE geometry in Alexandria and CuKα.
Peak positions follow from Bragg's law for the DFT cell and can differ from measured ones.

Principal peaks in the range 10 to 90 degrees two-theta, in order of falling intensity:
2θ (°), I (rel.)
40.51, 100
47.17, 64
40.65, 33
83.03, 21
68.83, 21
83.16, 20

Cell and atoms:
a = 6.0871 Å, b = 6.0871 Å, c = 4.7267 Å
α = 97.37°, β = 97.37°, γ = 84.45°
Sites, in units of the cell vectors:
Cu 0.0000 0.0000 0.0000
Cu 0.2524 0.2428 0.7512
Cu 0.6727 0.3273 0.0000
Cu 0.7572 0.7476 0.2488
Cu 0.8380 0.1620 0.5000
Pt 0.0804 0.4026 0.2490
Pt 0.1590 0.8410 0.5000
Pt 0.3388 0.6612 0.0000
Pt 0.4254 0.0816 0.2464
Pt 0.5091 0.4909 0.5000
Pt 0.5974 0.9196 0.7510
Pt 0.9184 0.5746 0.7536

No. 9
Diffraction record for Cu13Pt2. The powder diffraction line list is calculated, not measured: it uses the PBE geometry in Alexandria and CuKα.
Peak positions follow from Bragg's law for the DFT cell and can differ from measured ones.

Principal peaks in the range 10 to 90 degrees two-theta, in order of falling intensity:
2θ (°), I (rel.)
42.46, 100
42.56, 33
48.83, 22
49.07, 21
50.48, 20
72.89, 18

Cell and atoms:
a = 5.7363 Å, b = 5.8710 Å, c = 6.3939 Å
α = 68.42°, β = 69.74°, γ = 83.93°
Sites, in units of the cell vectors:
Cu 0.0000 0.0000 0.0000
Cu 0.0688 0.7420 0.3972
Cu 0.2034 0.1945 0.2017
Cu 0.2688 0.9373 0.5975
Cu 0.3391 0.6720 0.9985
Cu 0.3963 0.3953 0.3977
Cu 0.4708 0.1290 0.7993
Cu 0.5292 0.8710 0.2007
Cu 0.6037 0.6047 0.6023
Cu 0.6609 0.3280 0.0015
Cu 0.7312 0.0627 0.4025
Cu 0.7966 0.8055 0.7983
Cu 0.9312 0.2580 0.6028
Pt 0.1377 0.4654 0.7929
Pt 0.8623 0.5346 0.2071

No. 10
Diffraction record for Cu2Pt. The powder diffraction line list is calculated, not measured: it uses the PBE geometry in Alexandria and CuKα.
Peak positions follow from Bragg's law for the DFT cell and can differ from measured ones.

Principal peaks in the range 10 to 90 degrees two-theta, in order of falling intensity:
2θ (°), I (rel.)
41.25, 100
41.78, 95
47.59, 65
49.73, 29
83.86, 24
71.23, 18

Cell and atoms:
a = 7.8112 Å, b = 2.7280 Å, c = 8.0321 Å
α = 90.00°, β = 110.15°, γ = 90.00°
Sites, in units of the cell vectors:
Cu 0.0000 0.0000 0.0000
Cu 0.0016 0.0000 0.3365
Cu 0.0069 0.0000 0.6721
Cu 0.2431 0.5000 0.9058
Cu 0.2450 0.5000 0.5861
Cu 0.4894 0.0000 0.8253
Cu 0.4954 0.0000 0.5043
Cu 0.7561 0.5000 0.0831
Pt 0.2410 0.5000 0.2523
Pt 0.4970 0.0000 0.1519
Pt 0.7494 0.5000 0.7583
Pt 0.7591 0.5000 0.4189

No. 11
Diffraction record for Cu5Pt6. The powder diffraction line list is calculated, not measured: it uses the PBE geometry in Alexandria and CuKα.
Peak positions follow from Bragg's law for the DFT cell and can differ from measured ones.

Principal peaks in the range 10 to 90 degrees two-theta, in order of falling intensity:
2θ (°), I (rel.)
45.14, 100
39.16, 82
33.78, 82
42.39, 78
40.53, 63
39.81, 56

Cell and atoms:
a = 6.2821 Å, b = 6.2821 Å, c = 4.5519 Å
α = 104.00°, β = 104.00°, γ = 104.18°
Sites, in units of the cell vectors:
Cu 0.0000 0.0000 0.0000
Cu 0.1338 0.8662 0.5000
Cu 0.2723 0.7277 0.0000
Cu 0.7277 0.2723 0.0000
Cu 0.8662 0.1338 0.5000
Pt 0.1618 0.4459 0.3606
Pt 0.3034 0.3034 0.8610
Pt 0.4459 0.1618 0.3606
Pt 0.5541 0.8382 0.6394
Pt 0.6966 0.6966 0.1390
Pt 0.8382 0.5541 0.6394

No. 12
Diffraction record for CuPt5. The powder diffraction line list is calculated, not measured: it uses the PBE geometry in Alexandria and CuKα.
Peak positions follow from Bragg's law for the DFT cell and can differ from measured ones.

Principal peaks in the range 10 to 90 degrees two-theta, in order of falling intensity:
2θ (°), I (rel.)
42.54, 100
38.97, 28
37.59, 24
73.04, 21
81.11, 21
67.84, 17

Cell and atoms:
a = 4.7855 Å, b = 4.7855 Å, c = 4.6221 Å
α = 90.00°, β = 90.00°, γ = 120.00°
Sites, in units of the cell vectors:
Cu 0.0000 0.0000 0.0000
Pt 0.0000 0.6668 0.5000
Pt 0.3332 0.3332 0.5000
Pt 0.3333 0.6667 0.0000
Pt 0.6668 0.0000 0.5000
Pt 0.6667 0.3333 0.0000